Diffraction record for WSe2O6. The powder diffractogram is simulated, not measured: it uses a cell relaxed with GGA+U and λ = 1.5418 Å (Cu Kα).
Kinematic intensities with the Lorentz-polarization factor, no thermal factor.

Main lines, by angle (10 to 80 degrees two-theta):
2theta  Rel. int.  hkl
12.89  90  0 0 3
21.10  74  1 0 1
22.40  60  0 1 2
27.01  100  1 0 4
30.03  96  0 1 5
36.17  57  1 1 0
37.01  32  1 0 7
54.52  45  1 1 9

Crystal structure
Cell lengths 4.9673, 4.9673, 20.5989 Å; angles 90.00, 90.00, 120.00 degrees
Space group R3 (No. 146, hexagonal axes)
Inequivalent atoms, fractional coordinates:
1 W 0.0000 0.0000 0.0000 [3 per cell]
2 Se 0.0000 0.0000 0.2368 [3 per cell]
3 Se 0.0000 0.0000 0.4301 [3 per cell]
4 O 0.0221 0.3403 0.0624 [9 per cell]
5 O 0.0219 0.6809 0.9377 [9 per cell]